Entry 1:
Starting from a DFT-relaxed cell (GGA-PBE, Alexandria), the PXRD pattern of SrPm2Cd2Sn2 was computed for CuKα.
No peak broadening, texture or thermal motion is included.

Main lines, low angle first (2θ from 5° to 70°):
| two_theta | Rel. int. |
| --- | --- |
| 9.23 | 19 |
| 29.85 | 98 |
| 32.25 | 29 |
| 35.54 | 100 |
| 47.07 | 28 |
| 60.35 | 26 |

abc: 10.011 10.011 10.011
angles: 29.23 29.23 29.23
Sites, in units of the cell vectors:
Sr 0.000 0.000 0.000
Pm 0.133 0.133 0.133
Pm 0.867 0.867 0.867
Cd 0.423 0.423 0.423
Cd 0.577 0.577 0.577
Sn 0.259 0.259 0.259
Sn 0.741 0.741 0.741

=====

Entry 2:
Starting from a DFT-relaxed cell (GGA-PBE, Alexandria), the PXRD pattern of Li2Tb2ThIn2 was computed for CuKα.
No peak broadening, texture or thermal motion is included.

Main lines, low angle first (2θ from 5° to 70°):
| two_theta | Rel. int. |
| --- | --- |
| 21.23 | 100 |
| 31.69 | 79 |
| 34.36 | 93 |
| 36.73 | 90 |
| 51.17 | 30 |
| 64.63 | 30 |

abc: 9.276 9.276 9.276
angles: 30.59 30.59 30.59
Sites, in units of the cell vectors:
Li 0.096 0.096 0.096
Li 0.904 0.904 0.904
Tb 0.371 0.371 0.371
Tb 0.629 0.629 0.629
Th 0.500 0.500 0.500
In 0.238 0.238 0.238
In 0.762 0.762 0.762